NpSi2Au6: computed X-ray powder pattern (Cu Kα, 1.54184 Å), based on a DFT-relaxed cell (PBE, Alexandria).
Peak positions follow from Bragg's law for the DFT cell and can differ from measured ones.

Cell and atoms:
```
NpSi2Au6
1.0
4.2287 0.0000 0.0000
0.0000 4.2287 0.0000
0.0000 0.0000 9.2586
Np Si Au
1 2 6
Cartesian
0.0000 0.0000 0.0000
2.1144 2.1144 1.1402
2.1144 2.1144 8.1184
0.0000 0.0000 4.6293
0.0000 2.1144 2.5220
0.0000 2.1144 6.7366
2.1144 0.0000 2.5220
2.1144 0.0000 6.7366
2.1144 2.1144 4.6293
```

The 6 most intense peaks (2θ = 15–90°), by intensity:
2θ/deg, I/Imax
35.7, 100
42.8, 35
73.8, 25
59.2, 19
38.9, 16
62.1, 12



HoS5Cl: computed X-ray powder pattern (Cu Kα, 1.54184 Å), based on a DFT-relaxed cell (PBE, Alexandria).
Peak positions follow from Bragg's law for the DFT cell and can differ from measured ones.

Cell and atoms:
```
HoS5Cl
1.0
2.8653 -11.3305 0.0000
2.8653 11.3305 0.0000
-2.5208 0.0000 3.2776
Ho S Cl
1 5 1
Cartesian
0.0000 0.0000 0.0000
0.5727 6.0204 1.5665
-0.3801 1.3701 2.2439
2.6371 6.0204 1.7111
3.5899 1.3701 1.0337
2.8653 -6.5796 0.0000
1.6049 -1.4979 1.6388
```

The 6 most intense peaks (2θ = 15–90°), by intensity:
2θ/deg, I/Imax
15.6, 100
24.7, 45
27.8, 40
19.9, 39
35.3, 36
22.1, 29